Starting from a crystal structure in the Materials Project, relaxed with PBE, the powder XRD pattern of RbNa2BO3 was calculated for Cu Kα X-rays.

Principal peaks in the range 10° ≤ 2θ ≤ 90°, in order of rising 2θ:
2theta, I/Imax, (hkl)
26.43, 78.2, 1 1 1
31.16, 66.7, 2 0 0
35.03, 98.2, 0 1 2
35.52, 79.9, 1 0 2
36.61, 100.0, 1 2 1
46.01, 86.4, 2 2 1

a = 5.740 Å, b = 6.199 Å, c = 5.630 Å
α = 90.00°, β = 90.00°, γ = 90.00°
Sites, in units of the cell vectors:
Rb 0.250 0.250 0.106
Rb 0.750 0.750 0.894
Na 0.250 0.519 0.635
Na 0.250 0.981 0.635
Na 0.750 0.019 0.365
Na 0.750 0.481 0.365
B 0.250 0.750 0.213
B 0.750 0.250 0.787
O 0.041 0.750 0.344
O 0.250 0.750 0.966
O 0.459 0.750 0.344
O 0.541 0.250 0.656
O 0.750 0.250 0.034
O 0.959 0.250 0.656

---

Starting from a crystal structure in the Materials Project, relaxed with PBE, the powder XRD pattern of NaBS2O8 was calculated for Cu Kα X-rays.

Principal peaks in the range 10° ≤ 2θ ≤ 90°, in order of rising 2θ:
2theta, I/Imax, (hkl)
16.85, 92.9, 1 0 0
20.46, 100.0, 1 1 0
20.77, 91.0, 1 1 -1
23.14, 43.2, 0 2 0
26.33, 71.2, 1 1 1
33.45, 59.8, 0 2 2

a = 5.553 Å, b = 7.688 Å, c = 7.886 Å
α = 90.00°, β = 108.67°, γ = 90.00°
Sites, in units of the cell vectors:
Na 0.000 0.067 0.250
Na 0.000 0.933 0.750
B 0.500 0.458 0.750
B 0.500 0.542 0.250
S 0.370 0.277 0.004
S 0.370 0.723 0.504
S 0.630 0.277 0.496
S 0.630 0.723 0.996
O 0.165 0.157 0.989
O 0.165 0.843 0.489
O 0.321 0.439 0.106
O 0.321 0.561 0.606
O 0.326 0.346 0.812
O 0.326 0.654 0.312
O 0.373 0.215 0.418
O 0.373 0.785 0.918
O 0.627 0.215 0.082
O 0.627 0.785 0.582
O 0.674 0.346 0.688
O 0.674 0.654 0.188
O 0.679 0.439 0.394
O 0.679 0.561 0.894
O 0.835 0.157 0.511
O 0.835 0.843 0.011